Structure and theoretical powder X-ray diffraction pattern of BaHg7 (a cell relaxed with PBE; Cu Kα (weighted mean of Kα1 and Kα2)).
Intensities are scaled so that the largest is 1000.

Peak list (12 most intense, 10 to 80 degrees two-theta, by intensity)
2.400 Å, 2θ 37.47, I = 1000, (1 3 -1); 3.008 Å, 2θ 29.70, I = 940, (4 0 -1); 2.444 Å, 2θ 36.78, I = 910, (4 2 0); 2.309 Å, 2θ 39.00, I = 546, (2 0 -2); 3.018 Å, 2θ 29.60, I = 478, (0 2 1); 3.039 Å, 2θ 29.39, I = 477, (2 0 1); 6.896 Å, 2θ 12.84, I = 383, (1 1 0); 1.671 Å, 2θ 54.96, I = 346, (6 2 -2); 1.686 Å, 2θ 54.43, I = 298, (2 2 2); 2.421 Å, 2θ 37.13, I = 293, (3 1 1); 2.299 Å, 2θ 39.19, I = 205, (3 3 0); 1.351 Å, 2θ 69.62, I = 166, (3 3 -3)

Cell and atoms:
a b c (Å): 12.8111 8.4269 4.6189
angles (deg): 90.00 110.52 90.00
Space group C2/m (No. 12)
One atom of each set of equivalent atoms:
Ba: 0.0000 0.0000 0.0000
Hg: 0.0000 0.5000 0.0000
Hg: 0.1301 0.3093 0.6314
Hg: 0.2432 0.0000 0.7443


Structure and theoretical powder X-ray diffraction pattern of TbPa2Se3 (a cell relaxed with PBE; Cu Kα (weighted mean of Kα1 and Kα2)).
Intensities are scaled so that the largest is 1000.

Peak list (12 most intense, 10 to 80 degrees two-theta, by intensity)
2.880 Å, 2θ 31.06, I = 1000, (2 0 0); 2.036 Å, 2θ 44.50, I = 500, (2 3 2); 1.288 Å, 2θ 73.55, I = 229, (4 3 2); 3.352 Å, 2θ 26.59, I = 183, (1 3 0); 3.299 Å, 2θ 27.03, I = 176, (1 0 2); 1.676 Å, 2θ 54.78, I = 136, (2 6 0); 2.061 Å, 2θ 43.92, I = 130, (0 6 0); 1.650 Å, 2θ 55.72, I = 129, (2 0 4); 1.440 Å, 2θ 64.75, I = 124, (4 0 0); 2.013 Å, 2θ 45.03, I = 120, (0 0 4); 1.748 Å, 2θ 52.33, I = 62, (1 6 2); 1.726 Å, 2θ 53.07, I = 60, (1 3 4)

Cell and atoms:
a b c (Å): 5.7563 12.3680 8.0522
angles (deg): 90.00 90.04 90.00
Space group P2_1/c (No. 14)
One atom of each set of equivalent atoms:
Tb: 0.2498 0.0837 0.1290
Pa: 0.2496 0.0831 0.6213
Pa: 0.2506 0.7501 0.1239
Se: 0.2493 0.2477 0.8748
Se: 0.2502 0.5812 0.3762
Se: 0.2504 0.5832 0.8720